For CsUP2O8, a structure optimized by DFT (PBE) gives the computed powder X-ray diffraction pattern in this record (Cu Kα (weighted mean of Kα1 and Kα2)).

a b c (Å): 8.3847 5.6443 9.1396
angles (deg): 90.00 112.83 90.00
Positions (direct):
Cs  0.0028  0.2500  0.2490
Cs  0.9972  0.7500  0.7510
U  0.4829  0.7500  0.2224
U  0.5171  0.2500  0.7776
P  0.2859  0.7500  0.5172
P  0.3427  0.2500  0.0162
P  0.6573  0.7500  0.9838
P  0.7141  0.2500  0.4828
O  0.0954  0.7500  0.4738
O  0.2590  0.2500  0.8330
O  0.2890  0.0288  0.0903
O  0.2890  0.4712  0.0903
O  0.3299  0.7500  0.3646
O  0.3791  0.5259  0.6167
O  0.3791  0.9741  0.6167
O  0.4607  0.7500  0.9447
O  0.5393  0.2500  0.0553
O  0.6209  0.0259  0.3833
O  0.6209  0.4741  0.3833
O  0.6701  0.2500  0.6354
O  0.7110  0.5288  0.9097
O  0.7110  0.9712  0.9097
O  0.7410  0.7500  0.1670
O  0.9046  0.2500  0.5262

Most intense lines, 2θ from 5° to 70°, in order of falling intensity:
d 3.672, rel. 100.0; d 4.459, rel. 54.3; d 3.635, rel. 46.7; d 7.728, rel. 41.0; d 2.680, rel. 36.7; d 2.497, rel. 26.2; d 2.822, rel. 24.3; d 3.864, rel. 22.4; d 4.212, rel. 21.0; d 2.226, rel. 20.0


For Na4Ga3Si3BrO12, a structure optimized by DFT (PBE) gives the computed powder X-ray diffraction pattern in this record (Cu Kα (weighted mean of Kα1 and Kα2)).

a b c (Å): 9.1082 9.1082 9.1082
angles (deg): 90.00 90.00 90.00
Positions (direct):
Na  0.1809  0.1809  0.1809
Na  0.1809  0.8191  0.8191
Na  0.3191  0.3191  0.6809
Na  0.3191  0.6809  0.3191
Na  0.6809  0.3191  0.3191
Na  0.6809  0.6809  0.6809
Na  0.8191  0.1809  0.8191
Na  0.8191  0.8191  0.1809
Ga  0.0000  0.2500  0.5000
Ga  0.0000  0.7500  0.5000
Ga  0.2500  0.5000  0.0000
Ga  0.5000  0.0000  0.2500
Ga  0.5000  0.0000  0.7500
Ga  0.7500  0.5000  0.0000
Si  0.0000  0.5000  0.2500
Si  0.0000  0.5000  0.7500
Si  0.2500  0.0000  0.5000
Si  0.5000  0.2500  0.0000
Si  0.5000  0.7500  0.0000
Si  0.7500  0.0000  0.5000
Br  0.0000  0.0000  0.0000
Br  0.5000  0.5000  0.5000
O  0.0687  0.3645  0.6524
O  0.0687  0.6355  0.3476
O  0.1355  0.4313  0.1524
O  0.1355  0.5687  0.8476
O  0.1524  0.1355  0.4313
O  0.1524  0.8645  0.5687
O  0.3476  0.0687  0.6355
O  0.3476  0.9313  0.3645
O  0.3645  0.3476  0.9313
O  0.3645  0.6524  0.0687
O  0.4313  0.1524  0.1355
O  0.4313  0.8476  0.8645
O  0.5687  0.1524  0.8645
O  0.5687  0.8476  0.1355
O  0.6355  0.3476  0.0687
O  0.6355  0.6524  0.9313
O  0.6524  0.0687  0.3645
O  0.6524  0.9313  0.6355
O  0.8476  0.1355  0.5687
O  0.8476  0.8645  0.4313
O  0.8645  0.4313  0.8476
O  0.8645  0.5687  0.1524
O  0.9313  0.3645  0.3476
O  0.9313  0.6355  0.6524

Most intense lines, 2θ from 5° to 70°, in order of falling intensity:
d 3.718, rel. 100.0; d 2.434, rel. 40.3; d 2.629, rel. 18.5; d 1.478, rel. 17.8; d 1.610, rel. 17.1; d 4.554, rel. 15.0; d 2.147, rel. 13.6; d 6.440, rel. 12.9; d 4.073, rel. 12.9; d 2.037, rel. 11.3


For Ba3DyRu2O9, a structure optimized by DFT (PBE) gives the computed powder X-ray diffraction pattern in this record (Cu Kα (weighted mean of Kα1 and Kα2)).

a b c (Å): 5.9586 5.9586 14.5986
angles (deg): 90.00 90.00 120.00
Positions (direct):
Ba  0.0000  0.0000  0.2500
Ba  0.0000  0.0000  0.7500
Ba  0.3333  0.6667  0.0947
Ba  0.3333  0.6667  0.4053
Ba  0.6667  0.3333  0.5947
Ba  0.6667  0.3333  0.9053
Dy  0.0000  0.0000  0.0000
Dy  0.0000  0.0000  0.5000
Ru  0.3333  0.6667  0.6644
Ru  0.3333  0.6667  0.8356
Ru  0.6667  0.3333  0.1644
Ru  0.6667  0.3333  0.3356
O  0.0193  0.5096  0.7500
O  0.1761  0.3523  0.5882
O  0.1761  0.3523  0.9118
O  0.1761  0.8239  0.5882
O  0.1761  0.8239  0.9118
O  0.3523  0.1761  0.0882
O  0.3523  0.1761  0.4118
O  0.4904  0.5096  0.7500
O  0.4904  0.9807  0.7500
O  0.5096  0.0193  0.2500
O  0.5096  0.4904  0.2500
O  0.6477  0.8239  0.5882
O  0.6477  0.8239  0.9118
O  0.8239  0.1761  0.0882
O  0.8239  0.1761  0.4118
O  0.8239  0.6477  0.0882
O  0.8239  0.6477  0.4118
O  0.9807  0.4904  0.2500

Most intense lines, 2θ from 5° to 70°, in order of falling intensity:
d 2.979, rel. 100.0; d 1.720, rel. 32.1; d 2.107, rel. 23.3; d 1.490, rel. 15.0; d 3.540, rel. 12.4; d 1.934, rel. 10.1; d 2.280, rel. 9.7; d 1.622, rel. 8.6; d 1.425, rel. 5.5; d 2.541, rel. 5.1


For La2Ga12Pd, a structure optimized by DFT (PBE) gives the computed powder X-ray diffraction pattern in this record (Cu Kα (weighted mean of Kα1 and Kα2)).

a b c (Å): 6.1765 6.1765 15.8586
angles (deg): 90.00 90.00 90.00
Positions (direct):
La  0.2500  0.7500  0.2464
La  0.2500  0.7500  0.7536
La  0.7500  0.2500  0.2464
La  0.7500  0.2500  0.7536
Ga  0.0003  0.9997  0.0880
Ga  0.9997  0.0003  0.9120
Ga  0.9997  0.4997  0.0880
Ga  0.0003  0.5003  0.9120
Ga  0.0706  0.5706  0.4286
Ga  0.0706  0.9294  0.5714
Ga  0.2500  0.2500  0.1840
Ga  0.2500  0.2500  0.3415
Ga  0.2500  0.2500  0.6585
Ga  0.2500  0.2500  0.8160
Ga  0.4294  0.5706  0.5714
Ga  0.4294  0.9294  0.4286
Ga  0.5003  0.0003  0.0880
Ga  0.4997  0.9997  0.9120
Ga  0.4997  0.5003  0.0880
Ga  0.5003  0.4997  0.9120
Ga  0.5706  0.0706  0.5714
Ga  0.5706  0.4294  0.4286
Ga  0.7500  0.7500  0.1840
Ga  0.7500  0.7500  0.3415
Ga  0.7500  0.7500  0.6585
Ga  0.7500  0.7500  0.8160
Ga  0.9294  0.0706  0.4286
Ga  0.9294  0.4294  0.5714
Pd  0.2500  0.7500  0.0000
Pd  0.7500  0.2500  0.0000

Most intense lines, 2θ from 5° to 70°, in order of falling intensity:
d 2.878, rel. 100.0; d 2.184, rel. 82.5; d 2.936, rel. 74.1; d 2.263, rel. 46.7; d 2.436, rel. 45.6; d 2.009, rel. 40.4; d 1.752, rel. 37.7; d 1.391, rel. 27.0; d 15.859, rel. 23.1; d 2.213, rel. 21.7


For Sr2YIrO6, a structure optimized by DFT (PBE) gives the computed powder X-ray diffraction pattern in this record (Cu Kα (weighted mean of Kα1 and Kα2)).

a b c (Å): 5.8249 5.8799 10.0839
angles (deg): 90.00 124.90 90.00
Positions (direct):
Sr  0.2413  0.0359  0.2492
Sr  0.2413  0.4641  0.7492
Sr  0.7587  0.5359  0.2508
Sr  0.7587  0.9641  0.7508
Y  0.5000  0.0000  0.0000
Y  0.5000  0.5000  0.5000
Ir  0.0000  0.0000  0.5000
Ir  0.0000  0.5000  0.0000
O  0.1570  0.2278  0.9606
O  0.1570  0.2722  0.4606
O  0.2339  0.6996  0.9625
O  0.2339  0.8004  0.4625
O  0.3072  0.0181  0.7348
O  0.3072  0.4819  0.2348
O  0.6928  0.5181  0.7652
O  0.6928  0.9819  0.2652
O  0.7661  0.1996  0.5375
O  0.7661  0.3004  0.0375
O  0.8430  0.7278  0.5394
O  0.8430  0.7722  0.0394

Most intense lines, 2θ from 5° to 70°, in order of falling intensity:
d 2.935, rel. 100.0; d 2.916, rel. 99.3; d 2.069, rel. 55.3; d 4.137, rel. 25.1; d 1.694, rel. 24.3; d 4.787, rel. 22.4; d 1.691, rel. 22.3; d 1.680, rel. 22.2; d 1.688, rel. 14.6; d 1.466, rel. 10.5


For NaDy3, a structure optimized by DFT (PBE) gives the computed powder X-ray diffraction pattern in this record (Cu Kα (weighted mean of Kα1 and Kα2)).

a b c (Å): 5.6313 5.6313 5.6313
angles (deg): 60.00 60.00 60.00
Positions (direct):
Na  0.0000  0.0000  0.0000
Dy  0.2500  0.2500  0.2500
Dy  0.5000  0.5000  0.5000
Dy  0.7500  0.7500  0.7500

Most intense lines, 2θ from 5° to 70°, in order of falling intensity:
d 2.816, rel. 100.0; d 1.626, rel. 38.9; d 1.991, rel. 18.5; d 4.598, rel. 16.3; d 1.408, rel. 12.0; d 2.401, rel. 9.3; d 3.982, rel. 8.7; d 1.827, rel. 4.2; d 1.781, rel. 3.8; d 1.533, rel. 3.2


For Cs2NdAgBr6, a structure optimized by DFT (PBE) gives the computed powder X-ray diffraction pattern in this record (Cu Kα (weighted mean of Kα1 and Kα2)).

a b c (Å): 8.1691 8.1691 8.1691
angles (deg): 60.00 60.00 60.00
Positions (direct):
Cs  0.2500  0.2500  0.2500
Cs  0.7500  0.7500  0.7500
Nd  0.0000  0.0000  0.0000
Ag  0.5000  0.5000  0.5000
Br  0.2501  0.2501  0.7499
Br  0.2501  0.7499  0.2501
Br  0.2501  0.7499  0.7499
Br  0.7499  0.2501  0.2501
Br  0.7499  0.2501  0.7499
Br  0.7499  0.7499  0.2501

Most intense lines, 2θ from 5° to 70°, in order of falling intensity:
d 2.888, rel. 100.0; d 2.042, rel. 72.7; d 4.085, rel. 58.7; d 3.335, rel. 47.5; d 2.358, rel. 27.4; d 1.668, rel. 25.3; d 1.742, rel. 20.9; d 1.544, rel. 14.5; d 5.776, rel. 14.3; d 1.827, rel. 12.6


For RbSb2F7, a structure optimized by DFT (PBE) gives the computed powder X-ray diffraction pattern in this record (Cu Kα (weighted mean of Kα1 and Kα2)).

a b c (Å): 13.0376 6.6076 9.0727
angles (deg): 90.00 102.08 90.00
Positions (direct):
Rb  0.1115  0.2361  0.4244
Rb  0.1115  0.2639  0.9244
Rb  0.8885  0.7361  0.0756
Rb  0.8885  0.7639  0.5756
Sb  0.2142  0.7388  0.7178
Sb  0.2142  0.7612  0.2178
Sb  0.4152  0.2036  0.8354
Sb  0.4152  0.2964  0.3354
Sb  0.5848  0.7036  0.6646
Sb  0.5848  0.7964  0.1646
Sb  0.7858  0.2388  0.7822
Sb  0.7858  0.2612  0.2822
F  0.0955  0.5532  0.6379
F  0.0955  0.9468  0.1379
F  0.1041  0.5410  0.1800
F  0.1041  0.9590  0.6800
F  0.1734  0.7011  0.9157
F  0.1734  0.7989  0.4157
F  0.2876  0.0797  0.2875
F  0.2876  0.4203  0.7875
F  0.3041  0.0302  0.8974
F  0.3041  0.4698  0.3974
F  0.3522  0.1173  0.6288
F  0.3522  0.3827  0.1288
F  0.4961  0.5735  0.3353
F  0.4961  0.9265  0.8353
F  0.5039  0.0735  0.1647
F  0.5039  0.4265  0.6647
F  0.6478  0.6173  0.8712
F  0.6478  0.8827  0.3712
F  0.6959  0.5302  0.6026
F  0.6959  0.9698  0.1026
F  0.7124  0.5797  0.2125
F  0.7124  0.9203  0.7125
F  0.8266  0.2011  0.5843
F  0.8266  0.2989  0.0843
F  0.8959  0.0410  0.3200
F  0.8959  0.4590  0.8200
F  0.9045  0.0532  0.8621
F  0.9045  0.4468  0.3621

Most intense lines, 2θ from 5° to 70°, in order of falling intensity:
d 3.574, rel. 100.0; d 3.683, rel. 58.7; d 3.458, rel. 41.9; d 4.588, rel. 34.6; d 3.304, rel. 33.4; d 4.436, rel. 25.8; d 2.246, rel. 24.9; d 1.857, rel. 22.2; d 2.021, rel. 20.5; d 1.955, rel. 20.5